For PrZn2Cd9, a DFT-relaxed cell (GGA-PBE, Alexandria) gives the theoretical X-ray powder pattern in this record (CuKα).

abc: 11.7777 11.7777 7.5584
angles: 90.00 90.00 90.00
Space group I4_1/amd (No. 141, origin choice 2)
Unique sites:
Pr: 0.0000 0.2500 0.3750 (multiplicity 4)
Zn: 0.0000 0.0000 0.0000 (multiplicity 8)
Cd: 0.0000 0.2500 0.8750 (multiplicity 4)
Cd: 0.1212 0.0529 0.6745 (multiplicity 32)

Largest 10 diffraction maxima, in order of falling intensity, 5 to 70 degrees two-theta:
| Position (°2θ) | d [Å] | Rel. int. | h k l |
| --- | --- | --- | --- |
| 33.8 | 2.653 | 100 | 3 1 2 |
| 40.1 | 2.249 | 74 | 5 0 1 |
| 34.0 | 2.634 | 60 | 4 2 0 |
| 60.8 | 1.524 | 28 | 5 5 2 |
| 36.5 | 2.464 | 25 | 1 0 3 |
| 41.8 | 2.161 | 21 | 4 2 2 |
| 29.8 | 2.998 | 20 | 3 2 1 |
| 39.7 | 2.273 | 19 | 2 1 3 |
| 67.9 | 1.380 | 13 | 5 3 4 |
| 38.8 | 2.323 | 12 | 4 0 2 |


For Pr2ZnCd5, a DFT-relaxed cell (GGA-PBE, Alexandria) gives the theoretical X-ray powder pattern in this record (CuKα).

abc: 4.7419 17.5118 9.8063
angles: 90.00 90.00 90.00
Space group Cmcm (No. 63)
Unique sites:
Pr: 0.0000 0.0000 0.0000 (multiplicity 4)
Pr: 0.0000 0.1961 0.2500 (multiplicity 4)
Zn: 0.0000 0.4492 0.7500 (multiplicity 4)
Cd: 0.0000 0.1905 0.6033 (multiplicity 8)
Cd: 0.0000 0.3586 0.5338 (multiplicity 8)
Cd: 0.0000 0.4013 0.2500 (multiplicity 4)

Largest 10 diffraction maxima, in order of falling intensity, 5 to 70 degrees two-theta:
| Position (°2θ) | d [Å] | Rel. int. | h k l |
| --- | --- | --- | --- |
| 31.8 | 2.817 | 100 | 1 5 0 |
| 33.7 | 2.660 | 86 | 1 1 3 |
| 30.4 | 2.943 | 78 | 1 3 2 |
| 37.9 | 2.371 | 57 | 2 0 0 |
| 41.5 | 2.177 | 30 | 0 6 3 |
| 57.5 | 1.604 | 22 | 2 6 3 |
| 35.8 | 2.508 | 20 | 0 6 2 |
| 44.4 | 2.040 | 18 | 1 3 4 |
| 34.2 | 2.619 | 16 | 0 4 3 |
| 30.6 | 2.919 | 15 | 0 6 0 |


For PrZn4Cd, a DFT-relaxed cell (GGA-PBE, Alexandria) gives the theoretical X-ray powder pattern in this record (CuKα).

abc: 8.1868 16.4952 3.6538
angles: 90.00 90.00 90.00
Space group Pbam (No. 55)
Unique sites:
Pr: 0.1205 0.1590 0.0000 (multiplicity 4)
Zn: 0.0312 0.6937 0.5000 (multiplicity 4)
Zn: 0.1177 0.9564 0.5000 (multiplicity 4)
Zn: 0.1382 0.5504 0.5000 (multiplicity 4)
Zn: 0.2153 0.8080 0.5000 (multiplicity 4)
Cd: 0.1291 0.4130 0.0000 (multiplicity 4)

Largest 10 diffraction maxima, in order of falling intensity, 5 to 70 degrees two-theta:
| Position (°2θ) | d [Å] | Rel. int. | h k l |
| --- | --- | --- | --- |
| 33.3 | 2.689 | 100 | 2 1 1 |
| 36.8 | 2.443 | 65 | 2 3 1 |
| 34.6 | 2.594 | 56 | 1 4 1 |
| 32.7 | 2.735 | 38 | 0 4 1 |
| 31.4 | 2.852 | 37 | 1 3 1 |
| 49.9 | 1.827 | 31 | 0 0 2 |
| 34.9 | 2.569 | 28 | 2 5 0 |
| 39.6 | 2.276 | 27 | 3 4 0 |
| 38.4 | 2.346 | 19 | 1 5 1 |
| 43.0 | 2.103 | 16 | 3 5 0 |


For PrZnCd11, a DFT-relaxed cell (GGA-PBE, Alexandria) gives the theoretical X-ray powder pattern in this record (CuKα).

abc: 5.9375 14.0104 7.5717
angles: 90.00 112.43 90.00
Space group C2/m (No. 12)
Unique sites:
Pr: 0.0000 0.0000 0.0000 (multiplicity 2)
Zn: 0.0000 0.5000 0.5000 (multiplicity 2)
Cd: 0.0000 0.0000 0.5000 (multiplicity 2)
Cd: 0.0999 0.3943 0.2181 (multiplicity 8)
Cd: 0.1831 0.1735 0.3542 (multiplicity 8)
Cd: 0.2500 0.2500 0.0000 (multiplicity 4)

Largest 10 diffraction maxima, in order of falling intensity, 5 to 70 degrees two-theta:
| Position (°2θ) | d [Å] | Rel. int. | h k l |
| --- | --- | --- | --- |
| 36.3 | 2.477 | 100 | 0 4 2 |
| 36.0 | 2.494 | 62 | 1 5 0 |
| 35.1 | 2.555 | 50 | 2 2 0 |
| 35.4 | 2.537 | 42 | 2 2 -2 |
| 39.8 | 2.265 | 41 | 2 4 -1 |
| 35.9 | 2.503 | 39 | 1 1 2 |
| 40.7 | 2.214 | 39 | 0 6 1 |
| 31.1 | 2.875 | 34 | 1 3 -2 |
| 30.1 | 2.969 | 26 | 2 0 -1 |
| 30.9 | 2.895 | 26 | 1 3 1 |


For CdPt5, a DFT-relaxed cell (GGA-PBE, Alexandria) gives the theoretical X-ray powder pattern in this record (CuKα).

abc: 4.0003 8.5510 5.6888
angles: 90.00 90.00 90.00
Space group Pmmn (No. 59, origin choice 2)
Unique sites:
Cd: 0.2500 0.2500 0.1241 (multiplicity 2)
Pt: 0.2500 0.2500 0.6263 (multiplicity 2)
Pt: 0.2500 0.5809 0.1317 (multiplicity 4)
Pt: 0.2500 0.5836 0.6214 (multiplicity 4)

Largest 10 diffraction maxima, in order of falling intensity, 5 to 70 degrees two-theta:
| Position (°2θ) | d [Å] | Rel. int. | h k l |
| --- | --- | --- | --- |
| 38.8 | 2.320 | 100 | 1 3 0 |
| 45.0 | 2.013 | 33 | 0 3 2 |
| 65.8 | 1.419 | 21 | 2 3 2 |
| 45.3 | 2.000 | 16 | 2 0 0 |
| 65.5 | 1.425 | 5 | 0 6 0 |
| 65.6 | 1.422 | 5 | 0 0 4 |
| 15.6 | 5.689 | 1 | 0 0 1 |
| 18.7 | 4.736 | 1 | 0 1 1 |
| 20.8 | 4.275 | 1 | 0 2 0 |
| 24.6 | 3.623 | 1 | 1 1 0 |


For CdPt5, a DFT-relaxed cell (GGA-PBE, Alexandria) gives the theoretical X-ray powder pattern in this record (CuKα).

abc: 2.8309 2.8309 12.1431
angles: 90.00 90.00 90.00
Space group P4/mmm (No. 123)
Unique sites:
Cd: 0.0000 0.0000 0.0000 (multiplicity 1)
Pt: 0.0000 0.0000 0.3383 (multiplicity 2)
Pt: 0.5000 0.5000 0.1739 (multiplicity 2)
Pt: 0.5000 0.5000 0.5000 (multiplicity 1)

Largest 10 diffraction maxima, in order of falling intensity, 5 to 70 degrees two-theta:
| Position (°2θ) | d [Å] | Rel. int. | h k l |
| --- | --- | --- | --- |
| 38.8 | 2.320 | 100 | 1 0 3 |
| 45.3 | 2.002 | 33 | 1 1 0 |
| 65.6 | 1.423 | 21 | 1 1 6 |
| 44.8 | 2.024 | 16 | 0 0 6 |
| 66.0 | 1.415 | 11 | 2 0 0 |
| 7.3 | 12.143 | 10 | 0 0 1 |
| 43.7 | 2.070 | 2 | 1 0 4 |
| 14.6 | 6.072 | 2 | 0 0 2 |
| 32.5 | 2.757 | 1 | 1 0 1 |
| 52.8 | 1.735 | 1 | 0 0 7 |


For CdPt2, a DFT-relaxed cell (GGA-PBE, Alexandria) gives the theoretical X-ray powder pattern in this record (CuKα).

abc: 4.5674 9.2544 5.2193
angles: 90.00 90.00 90.00
Space group Cmc2_1 (No. 36)
Unique sites:
Cd: 0.0000 0.2309 0.0000 (multiplicity 4)
Pt: 0.0000 0.0684 0.5403 (multiplicity 4)
Pt: 0.0000 0.4688 0.3276 (multiplicity 4)

Largest 10 diffraction maxima, in order of falling intensity, 5 to 70 degrees two-theta:
| Position (°2θ) | d [Å] | Rel. int. | h k l |
| --- | --- | --- | --- |
| 41.0 | 2.201 | 100 | 1 1 2 |
| 39.2 | 2.296 | 99 | 1 3 1 |
| 39.5 | 2.284 | 52 | 2 0 0 |
| 19.2 | 4.627 | 46 | 0 2 0 |
| 25.7 | 3.462 | 21 | 0 2 1 |
| 42.8 | 2.115 | 20 | 0 4 1 |
| 49.9 | 1.826 | 15 | 1 3 2 |
| 59.6 | 1.552 | 15 | 2 4 1 |
| 56.5 | 1.629 | 14 | 0 2 3 |
| 35.1 | 2.556 | 13 | 1 3 0 |


For CdPt2, a DFT-relaxed cell (GGA-PBE, Alexandria) gives the theoretical X-ray powder pattern in this record (CuKα).

abc: 4.5768 4.5768 2.8628
angles: 90.00 90.00 120.00
Space group P6/mmm (No. 191)
Unique sites:
Cd: 0.0000 0.0000 0.0000 (multiplicity 1)
Pt: 0.3333 0.6667 0.5000 (multiplicity 2)

Largest 10 diffraction maxima, in order of falling intensity, 5 to 70 degrees two-theta:
| Position (°2θ) | d [Å] | Rel. int. | h k l |
| --- | --- | --- | --- |
| 39.4 | 2.288 | 100 | 1 1 0 |
| 38.8 | 2.321 | 79 | 1 0 1 |
| 51.1 | 1.787 | 28 | 1 1 1 |
| 56.5 | 1.629 | 26 | 2 0 1 |
| 31.2 | 2.863 | 18 | 0 0 1 |
| 22.4 | 3.964 | 10 | 1 0 0 |
| 65.2 | 1.431 | 8 | 0 0 2 |
| 45.8 | 1.982 | 2 | 2 0 0 |
| 61.9 | 1.498 | 1 | 2 1 0 |
| 69.9 | 1.346 | 1 | 1 0 2 |


For Cd2Pt, a DFT-relaxed cell (GGA-PBE, Alexandria) gives the theoretical X-ray powder pattern in this record (CuKα).

abc: 2.9927 4.0784 9.1427
angles: 90.00 90.00 90.00
Space group Immm (No. 71)
Unique sites:
Cd: 0.0000 0.0000 0.1601 (multiplicity 4)
Pt: 0.0000 0.0000 0.5000 (multiplicity 2)

Largest 10 diffraction maxima, in order of falling intensity, 5 to 70 degrees two-theta:
| Position (°2θ) | d [Å] | Rel. int. | h k l |
| --- | --- | --- | --- |
| 36.8 | 2.441 | 100 | 0 1 3 |
| 37.3 | 2.413 | 98 | 1 1 0 |
| 42.3 | 2.135 | 74 | 1 0 3 |
| 63.0 | 1.475 | 41 | 1 2 3 |
| 44.4 | 2.039 | 30 | 0 2 0 |
| 19.4 | 4.571 | 12 | 0 0 2 |
| 60.8 | 1.524 | 11 | 0 0 6 |
| 62.0 | 1.496 | 11 | 2 0 0 |
| 23.9 | 3.725 | 8 | 0 1 1 |
| 31.5 | 2.844 | 4 | 1 0 1 |


For Cd6Pt23, a DFT-relaxed cell (GGA-PBE, Alexandria) gives the theoretical X-ray powder pattern in this record (CuKα).

abc: 12.7150 12.7150 12.7150
angles: 90.00 90.00 90.00
Space group Fm-3m (No. 225)
Unique sites:
Cd: 0.0000 0.0000 0.2137 (multiplicity 24)
Pt: 0.0000 0.0000 0.5000 (multiplicity 4)
Pt: 0.0000 0.2500 0.2500 (multiplicity 24)
Pt: 0.1211 0.1211 0.3789 (multiplicity 32)
Pt: 0.1606 0.1606 0.1606 (multiplicity 32)

Largest 10 diffraction maxima, in order of falling intensity, 5 to 70 degrees two-theta:
| Position (°2θ) | d [Å] | Rel. int. | h k l |
| --- | --- | --- | --- |
| 40.1 | 2.248 | 100 | 4 4 0 |
| 36.7 | 2.447 | 29 | 3 3 3 |
| 42.0 | 2.149 | 19 | 5 3 1 |
| 13.9 | 6.358 | 11 | 2 0 0 |
| 12.1 | 7.341 | 11 | 1 1 1 |
| 47.4 | 1.917 | 11 | 6 2 2 |
| 67.1 | 1.396 | 10 | 7 5 3 |
| 58.0 | 1.589 | 9 | 8 0 0 |
| 34.6 | 2.595 | 8 | 4 2 2 |
| 45.1 | 2.010 | 7 | 6 2 0 |


For Cd3Pt5, a DFT-relaxed cell (GGA-PBE, Alexandria) gives the theoretical X-ray powder pattern in this record (CuKα).

abc: 5.0450 14.3801 7.9127
angles: 90.00 94.01 90.00
Space group Cm (No. 8)
Unique sites:
Cd: 0.0000 0.0000 0.0000 (multiplicity 2)
Cd: 0.0243 0.2954 0.6313 (multiplicity 4)
Cd: 0.0770 0.5000 0.5981 (multiplicity 2)
Cd: 0.3133 0.1704 0.2229 (multiplicity 4)
Pt: 0.0663 0.0977 0.6783 (multiplicity 4)
Pt: 0.0958 0.5000 0.2316 (multiplicity 2)
Pt: 0.1124 0.0000 0.3761 (multiplicity 2)
Pt: 0.3307 0.3417 0.3731 (multiplicity 4)
Pt: 0.4317 0.2933 0.9481 (multiplicity 4)
Pt: 0.4864 0.0953 0.9236 (multiplicity 4)

Largest 10 diffraction maxima, in order of falling intensity, 5 to 70 degrees two-theta:
| Position (°2θ) | d [Å] | Rel. int. | h k l |
| --- | --- | --- | --- |
| 43.6 | 2.078 | 100 | 1 5 2 |
| 42.1 | 2.144 | 96 | 1 5 -2 |
| 37.4 | 2.405 | 81 | 1 5 -1 |
| 34.1 | 2.631 | 65 | 0 0 3 |
| 39.3 | 2.293 | 65 | 0 6 1 |
| 38.3 | 2.350 | 56 | 2 0 1 |
| 38.0 | 2.369 | 46 | 1 1 -3 |
| 37.9 | 2.375 | 44 | 2 2 0 |
| 35.2 | 2.546 | 43 | 1 3 2 |
| 40.3 | 2.240 | 35 | 1 1 3 |


For PuCd3Pt8, a DFT-relaxed cell (GGA-PBE, Alexandria) gives the theoretical X-ray powder pattern in this record (CuKα).

abc: 5.4134 5.4134 8.6916
angles: 90.00 90.00 120.00
Space group P3m1 (No. 156)
Unique sites:
Pu: 0.0000 0.0000 0.0000 (multiplicity 1)
Cd: 0.0000 0.0000 0.3853 (multiplicity 1)
Cd: 0.6667 0.3333 0.4814 (multiplicity 1)
Cd: 0.6667 0.3333 0.8505 (multiplicity 1)
Pt: 0.1640 0.3279 0.6798 (multiplicity 3)
Pt: 0.3333 0.6667 0.4274 (multiplicity 1)
Pt: 0.3333 0.6667 0.9284 (multiplicity 1)
Pt: 0.5031 0.0062 0.1772 (multiplicity 3)

Largest 10 diffraction maxima, in order of falling intensity, 5 to 70 degrees two-theta:
| Position (°2θ) | d [Å] | Rel. int. | h k l |
| --- | --- | --- | --- |
| 39.8 | 2.263 | 100 | 2 0 1 |
| 39.2 | 2.298 | 100 | 1 1 2 |
| 36.5 | 2.465 | 57 | 1 0 3 |
| 43.9 | 2.063 | 33 | 0 2 2 |
| 67.0 | 1.396 | 31 | 0 2 5 |
| 69.5 | 1.353 | 31 | 2 2 0 |
| 63.2 | 1.471 | 25 | 3 0 2 |
| 41.6 | 2.173 | 24 | 0 0 4 |
| 61.3 | 1.512 | 23 | 2 1 3 |
| 33.1 | 2.707 | 20 | 1 1 0 |